Record 1
# Cr2HIrOs
Calculated powder XRD pattern, Cu Kα, 1.54184 Å. Input: a DFT-relaxed cell (GGA-PBE, Alexandria).

Atomic structure:
a b c (Å): 3.8049 3.8049 3.7682
angles (deg): 90.00 90.00 90.00
Fractional positions:
Cr 0.0000 0.5000 0.0000
Cr 0.5000 0.0000 0.0000
H 0.0000 0.0000 0.0000
Ir 0.5000 0.5000 0.5000
Os 0.0000 0.0000 0.5000

Main lines, sorted by position (2θ from 10° to 90°):
- 2θ = 23.61°, I = 31
- 2θ = 33.30°, I = 28
- 2θ = 41.23°, I = 100
- 2θ = 47.81°, I = 33
- 2θ = 48.31°, I = 16
- 2θ = 53.99°, I = 15
- 2θ = 59.94°, I = 11
- 2θ = 70.32°, I = 20
- 2θ = 84.53°, I = 25
- 2θ = 85.27°, I = 12


Record 2
# K3CrH7
Calculated powder XRD pattern, Cu Kα, 1.54184 Å. Input: a DFT-relaxed cell (GGA-PBE, Alexandria).

Atomic structure:
a b c (Å): 5.9858 5.8662 6.0448
angles (deg): 60.31 58.36 61.32
Fractional positions:
K 0.0000 0.0000 0.0000
K 0.2357 0.2357 0.2643
K 0.7357 0.7357 0.7643
Cr 0.4797 0.4797 0.5203
H 0.2025 0.4263 0.7975
H 0.2783 0.6806 0.3194
H 0.3438 0.7285 0.6562
H 0.4263 0.2025 0.5737
H 0.6806 0.2783 0.7217
H 0.6857 0.6857 0.3143
H 0.7285 0.3438 0.2715

Main lines, sorted by position (2θ from 10° to 90°):
- 2θ = 29.58°, I = 100
- 2θ = 29.91°, I = 96
- 2θ = 30.48°, I = 94
- 2θ = 41.45°, I = 20
- 2θ = 43.18°, I = 17
- 2θ = 44.12°, I = 15
- 2θ = 52.32°, I = 34
- 2θ = 53.41°, I = 32
- 2θ = 54.02°, I = 30
- 2θ = 87.33°, I = 13


Record 3
# K2Cr3H10
Calculated powder XRD pattern, Cu Kα, 1.54184 Å. Input: a DFT-relaxed cell (GGA-PBE, Alexandria).

Atomic structure:
a b c (Å): 9.0071 9.0071 7.3428
angles (deg): 112.50 112.50 37.07
Fractional positions:
K 0.1127 0.1127 0.2105
K 0.2093 0.2093 0.8131
K 0.7907 0.7907 0.1870
K 0.8873 0.8873 0.7895
Cr 0.2534 0.7466 0.5000
Cr 0.3243 0.3243 0.5086
Cr 0.4273 0.4273 0.0424
Cr 0.5727 0.5727 0.9576
Cr 0.6757 0.6757 0.4914
Cr 0.7466 0.2534 0.5000
H 0.0000 0.5000 0.5000
H 0.0248 0.0248 0.6596
H 0.1516 0.5660 0.0393
H 0.1648 0.6237 0.4976
H 0.2755 0.2755 0.2608
H 0.3003 0.6997 0.0000
H 0.3684 0.3684 0.7836
H 0.3763 0.8352 0.5024
H 0.4340 0.8484 0.9607
H 0.4729 0.4729 0.3185
H 0.5000 0.0000 0.5000
H 0.5271 0.5271 0.6815
H 0.5660 0.1516 0.0393
H 0.6237 0.1648 0.4976
H 0.6316 0.6316 0.2164
H 0.6997 0.3003 0.0000
H 0.7245 0.7245 0.7392
H 0.8352 0.3763 0.5024
H 0.8484 0.4340 0.9607
H 0.9752 0.9752 0.3404

Main lines, sorted by position (2θ from 10° to 90°):
- 2θ = 26.54°, I = 26
- 2θ = 29.33°, I = 44
- 2θ = 29.61°, I = 89
- 2θ = 29.98°, I = 96
- 2θ = 31.24°, I = 33
- 2θ = 31.43°, I = 100
- 2θ = 33.35°, I = 53
- 2θ = 34.16°, I = 39
- 2θ = 54.61°, I = 32
- 2θ = 57.07°, I = 29